(1)
Diffraction record for LiMn2B2O6. The X-ray powder pattern is simulated, not measured: it uses a GGA+U-relaxed structure and Cu Kα (λ = 1.5418 Å).

Cell and atoms:
a = 5.325 Å, b = 9.098 Å, c = 10.330 Å
α = 88.61°, β = 87.92°, γ = 89.22°
Fractional coordinates of all 44 atoms:
Li 0.000 0.000 0.000
Li 0.002 0.979 0.489
Li 0.480 0.487 0.988
Li 0.794 0.466 0.672
Mn 0.279 0.298 0.200
Mn 0.308 0.651 0.710
Mn 0.493 0.177 0.452
Mn 0.496 0.804 0.962
Mn 0.791 0.827 0.218
Mn 0.794 0.139 0.712
Mn 0.976 0.333 0.948
Mn 0.998 0.656 0.462
B 0.295 0.649 0.200
B 0.307 0.320 0.699
B 0.475 0.835 0.462
B 0.483 0.142 0.964
B 0.807 0.804 0.701
B 0.810 0.170 0.203
B 0.967 0.664 0.959
B 0.973 0.316 0.452
O 0.054 0.312 0.740
O 0.081 0.680 0.279
O 0.212 0.304 0.390
O 0.222 0.663 0.919
O 0.349 0.710 0.509
O 0.353 0.016 0.960
O 0.357 0.967 0.452
O 0.363 0.273 0.011
O 0.369 0.513 0.167
O 0.425 0.200 0.637
O 0.425 0.774 0.149
O 0.448 0.439 0.726
O 0.569 0.184 0.263
O 0.587 0.788 0.777
O 0.731 0.820 0.423
O 0.733 0.153 0.919
O 0.825 0.543 0.950
O 0.855 0.182 0.484
O 0.863 0.798 0.004
O 0.873 0.447 0.483
O 0.913 0.670 0.652
O 0.915 0.037 0.183
O 0.917 0.933 0.672
O 0.926 0.300 0.162

Peak list (6 most intense, 2θ = 15–90°, low angle first)
Position (°2θ)  I_rel
19.50  100
21.42  83
25.80  35
33.84  38
34.77  76
37.48  31

***

(2)
Diffraction record for Li2Mn3B3O9. The X-ray powder pattern is simulated, not measured: it uses a GGA+U-relaxed structure and Cu Kα (λ = 1.5418 Å).

Cell and atoms:
a = 8.251 Å, b = 8.251 Å, c = 9.467 Å
α = 90.00°, β = 90.00°, γ = 120.00°
Fractional coordinates of all 51 atoms:
Li 0.046 0.676 0.000
Li 0.065 0.693 0.332
Li 0.307 0.373 0.999
Li 0.324 0.369 0.667
Li 0.627 0.935 0.665
Li 0.631 0.954 0.333
Mn 0.337 0.013 0.836
Mn 0.339 0.038 0.501
Mn 0.349 0.063 0.168
Mn 0.676 0.663 0.169
Mn 0.698 0.661 0.835
Mn 0.713 0.651 0.501
Mn 0.937 0.287 0.834
Mn 0.962 0.302 0.168
Mn 0.987 0.324 0.503
B 0.000 0.994 0.332
B 0.006 0.005 0.998
B 0.316 0.643 0.827
B 0.328 0.684 0.160
B 0.357 0.672 0.493
B 0.655 0.331 0.004
B 0.669 0.324 0.670
B 0.676 0.345 0.337
B 0.995 0.000 0.665
O 0.186 0.079 0.668
O 0.192 0.068 0.320
O 0.200 0.089 0.009
O 0.215 0.733 0.847
O 0.221 0.775 0.161
O 0.225 0.446 0.828
O 0.236 0.494 0.140
O 0.257 0.764 0.473
O 0.267 0.482 0.514
O 0.506 0.743 0.807
O 0.518 0.785 0.180
O 0.538 0.139 0.018
O 0.549 0.133 0.673
O 0.553 0.153 0.321
O 0.554 0.779 0.495
O 0.584 0.451 0.006
O 0.600 0.447 0.654
O 0.601 0.462 0.352
O 0.847 0.400 0.988
O 0.861 0.399 0.685
O 0.867 0.416 0.339
O 0.876 0.808 0.653
O 0.889 0.800 0.342
O 0.893 0.814 0.002
O 0.911 0.111 0.675
O 0.921 0.107 0.335
O 0.932 0.124 0.987

Peak list (6 most intense, 2θ = 15–90°, low angle first)
Position (°2θ)  I_rel
21.54  100
35.82  67
37.77  25
47.84  24
53.04  20
54.69  17